[1]
Starting from a structure optimized by DFT (PBE), the PXRD pattern of MnVH2 was computed for Cu Kα.
Peak positions follow from Bragg's law for the DFT cell and can differ from measured ones.

Crystal structure
```
data_MnVH2
_chemical_formula_sum 'Mn4 V4 H8'
_symmetry_space_group_name_H-M 'P b c m'
_symmetry_Int_Tables_number 57
_symmetry_space_group_name_Hall '-P 2c 2b'
_cell_length_a 5.394
_cell_length_b 4.645
_cell_length_c 4.408
_cell_angle_alpha 90.00
_cell_angle_beta 90.00
_cell_angle_gamma 90.00
loop_
_atom_site_label
_atom_site_fract_x
_atom_site_fract_y
_atom_site_fract_z
_atom_site_occupancy
Mn1 0.122 0.084 0.250 1
V1 0.368 0.579 0.250 1
H1 0.111 0.750 0.000 1
H2 0.370 0.250 0.000 1
```

Main lines, most intense first (2θ = 10–90°):
43.92°, rel. 1000, (2 1 1); 44.07°, rel. 480, (0 2 1); 40.94°, rel. 392, (0 0 2); 38.60°, rel. 213, (2 1 0); 76.64°, rel. 164, (2 1 3); 84.49°, rel. 161, (2 3 2); 70.08°, rel. 145, (2 3 0); 57.53°, rel. 141, (2 1 2); 38.78°, rel. 117, (0 2 0); 86.28°, rel. 113, (4 2 1)

[2]
Starting from a structure optimized by DFT (PBE), the PXRD pattern of Mn5V2H2 was computed for Cu Kα.
Peak positions follow from Bragg's law for the DFT cell and can differ from measured ones.

Crystal structure
```
data_Mn5V2H2
_chemical_formula_sum 'Mn10 V4 H4'
_symmetry_space_group_name_H-M 'C 1 2/m 1'
_symmetry_Int_Tables_number 12
_symmetry_space_group_name_Hall '-C 2y'
_cell_length_a 8.515
_cell_length_b 3.905
_cell_length_c 5.154
_cell_angle_alpha 90.00
_cell_angle_beta 91.42
_cell_angle_gamma 90.00
loop_
_atom_site_label
_atom_site_fract_x
_atom_site_fract_y
_atom_site_fract_z
_atom_site_occupancy
Mn1 0.000 0.000 0.000 1
Mn2 0.133 0.000 0.541 1
Mn3 0.199 0.500 0.834 1
V1 0.079 0.500 0.276 1
H1 0.199 0.000 0.865 1
```

Main lines, most intense first (2θ = 10–90°):
43.18°, rel. 1000, (1 1 -2); 43.48°, rel. 932, (3 1 1); 45.72°, rel. 436, (4 0 -1); 46.51°, rel. 427, (0 2 0); 67.27°, rel. 244, (4 2 -1); 58.44°, rel. 153, (2 0 3); 82.58°, rel. 125, (5 1 -3); 83.94°, rel. 122, (1 3 -2); 77.79°, rel. 121, (2 2 3); 84.15°, rel. 115, (3 3 1)

[3]
Starting from a structure optimized by DFT (PBE), the PXRD pattern of YMnH2 was computed for Cu Kα.
Peak positions follow from Bragg's law for the DFT cell and can differ from measured ones.

Crystal structure
```
data_YMnH2
_chemical_formula_sum 'Y4 Mn4 H8'
_symmetry_space_group_name_H-M 'I -4 2 d'
_symmetry_Int_Tables_number 122
_symmetry_space_group_name_Hall 'I -4 2bw'
_cell_length_a 4.474
_cell_length_b 4.474
_cell_length_c 9.598
_cell_angle_alpha 90.00
_cell_angle_beta 90.00
_cell_angle_gamma 90.00
loop_
_atom_site_label
_atom_site_fract_x
_atom_site_fract_y
_atom_site_fract_z
_atom_site_occupancy
Y1 0.000 0.000 0.000 1
Mn1 0.000 0.000 0.500 1
H1 0.156 0.250 0.625 1
```

Main lines, most intense first (2θ = 10–90°):
33.94°, rel. 1000, (1 1 2); 40.32°, rel. 298, (2 0 0); 69.23°, rel. 226, (3 1 2); 56.22°, rel. 223, (2 0 4); 37.48°, rel. 182, (0 0 4); 65.37°, rel. 135, (1 1 6); 71.43°, rel. 102, (2 2 4); 58.33°, rel. 98, (2 2 0); 21.92°, rel. 76, (1 0 1); 87.14°, rel. 30, (4 0 0)

[4]
Starting from a structure optimized by DFT (PBE), the PXRD pattern of Zr5Mn2H12 was computed for Cu Kα.
Peak positions follow from Bragg's law for the DFT cell and can differ from measured ones.

Crystal structure
```
data_Zr5Mn2H12
_chemical_formula_sum 'Zr10 Mn4 H24'
_symmetry_space_group_name_H-M 'C 1 2/m 1'
_symmetry_Int_Tables_number 12
_symmetry_space_group_name_Hall '-C 2y'
_cell_length_a 9.903
_cell_length_b 5.340
_cell_length_c 6.548
_cell_angle_alpha 90.00
_cell_angle_beta 101.93
_cell_angle_gamma 90.00
loop_
_atom_site_label
_atom_site_fract_x
_atom_site_fract_y
_atom_site_fract_z
_atom_site_occupancy
Zr1 0.000 0.000 0.000 1
Zr2 0.154 0.500 0.864 1
Zr3 0.217 0.500 0.345 1
Mn1 0.000 0.227 0.500 1
H1 0.018 0.500 0.357 1
H2 0.064 0.000 0.361 1
H3 0.166 0.300 0.596 1
H4 0.171 0.236 0.101 1
```

Main lines, most intense first (2θ = 10–90°):
32.26°, rel. 1000, (1 1 -2); 32.40°, rel. 747, (3 1 0); 36.69°, rel. 435, (2 0 2); 32.95°, rel. 391, (3 1 -1); 33.57°, rel. 267, (0 2 0); 42.47°, rel. 252, (2 2 1); 59.23°, rel. 216, (1 3 -2); 41.85°, rel. 196, (4 0 -2); 55.04°, rel. 191, (5 1 1); 38.50°, rel. 170, (2 2 0)

[5]
Starting from a structure optimized by DFT (PBE), the PXRD pattern of ZrMnH4 was computed for Cu Kα.
Peak positions follow from Bragg's law for the DFT cell and can differ from measured ones.

Crystal structure
```
data_ZrMnH4
_chemical_formula_sum 'Zr4 Mn4 H16'
_symmetry_space_group_name_H-M 'C 1 2/c 1'
_symmetry_Int_Tables_number 15
_symmetry_space_group_name_Hall '-C 2yc'
_cell_length_a 4.964
_cell_length_b 8.068
_cell_length_c 5.412
_cell_angle_alpha 90.00
_cell_angle_beta 115.19
_cell_angle_gamma 90.00
loop_
_atom_site_label
_atom_site_fract_x
_atom_site_fract_y
_atom_site_fract_z
_atom_site_occupancy
Zr1 0.000 0.127 0.250 1
Mn1 0.000 0.458 0.250 1
H1 0.023 0.368 0.544 1
H2 0.155 0.094 0.665 1
```

Main lines, most intense first (2θ = 10–90°):
23.18°, rel. 1000, (1 1 -1); 36.70°, rel. 493, (0 0 2); 39.04°, rel. 422, (1 3 0); 40.15°, rel. 393, (2 0 0); 39.36°, rel. 387, (1 3 -1); 28.67°, rel. 348, (0 2 1); 34.18°, rel. 342, (1 1 1); 41.40°, rel. 329, (2 0 -2); 47.89°, rel. 242, (1 3 -2); 47.06°, rel. 218, (1 3 1)

[6]
Starting from a structure optimized by DFT (PBE), the PXRD pattern of Mo8H was computed for Cu Kα.
Peak positions follow from Bragg's law for the DFT cell and can differ from measured ones.

Crystal structure
```
data_Mo8H
_chemical_formula_sum 'Mo8 H1'
_symmetry_space_group_name_H-M 'P -3 m 1'
_symmetry_Int_Tables_number 164
_symmetry_space_group_name_Hall '-P 3 2"'
_cell_length_a 5.5770
_cell_length_b 5.5770
_cell_length_c 4.8624
_cell_angle_alpha 90.00
_cell_angle_beta 90.00
_cell_angle_gamma 120.00
loop_
_atom_site_label
_atom_site_fract_x
_atom_site_fract_y
_atom_site_fract_z
_atom_site_occupancy
Mo1 0.1685 0.3371 0.2397 1
Mo2 0.3333 0.6667 0.7278 1
H1 0.0000 0.0000 0.5000 1
```

Main lines, most intense first (2θ = 10–90°):
41.76°, rel. 1000, (2 0 1); 36.97°, rel. 308, (0 0 2); 37.23°, rel. 238, (2 0 0); 69.90°, rel. 196, (2 0 3); 79.20°, rel. 194, (2 2 2); 67.14°, rel. 158, (2 2 0); 53.48°, rel. 154, (0 2 2); 82.27°, rel. 136, (0 4 1); 78.72°, rel. 30, (0 0 4); 79.36°, rel. 25, (4 0 0)

[7]
Starting from a structure optimized by DFT (PBE), the PXRD pattern of Mo3H4 was computed for Cu Kα.
Peak positions follow from Bragg's law for the DFT cell and can differ from measured ones.

Crystal structure
```
data_Mo3H4
_chemical_formula_sum 'Mo3 H4'
_symmetry_space_group_name_H-M 'P m -3 m'
_symmetry_Int_Tables_number 221
_symmetry_space_group_name_Hall '-P 4 2 3'
_cell_length_a 4.019
_cell_length_b 4.019
_cell_length_c 4.019
_cell_angle_alpha 90.00
_cell_angle_beta 90.00
_cell_angle_gamma 90.00
loop_
_atom_site_label
_atom_site_fract_x
_atom_site_fract_y
_atom_site_fract_z
_atom_site_occupancy
Mo1 0.000 0.000 0.500 1
H1 0.000 0.000 0.000 1
H2 0.000 0.500 0.500 1
```

Main lines, most intense first (2θ = 10–90°):
38.81°, rel. 1000, (1 1 1); 45.12°, rel. 514, (2 0 0); 22.12°, rel. 383, (1 0 0); 79.02°, rel. 373, (3 1 1); 65.72°, rel. 320, (2 2 0); 31.48°, rel. 310, (1 1 0); 50.80°, rel. 154, (2 1 0); 56.05°, rel. 114, (2 1 1); 83.29°, rel. 113, (2 2 2); 70.26°, rel. 72, (3 0 0)